# 1
Calculated X-ray powder pattern of Cd2W for Cu Kα (weighted mean of Kα1 and Kα2), from a PBE-relaxed structure.

```
3
Lattice="2.943 0.000 0.000 -1.471 2.549 0.000 0.000 0.000 7.564" Properties=species:S:1:pos:R:3 pbc="T T T"
Cd 0.000 1.699 1.342
Cd 1.471 0.850 6.222
W 0.000 0.000 3.782
```

Main lines, in order of rising 2θ (2θ from 5° to 70°):
11.70°, intensity 19; 35.61°, intensity 36; 37.23°, intensity 100; 42.78°, intensity 69; 61.01°, intensity 22; 63.19°, intensity 20


# 2
Calculated X-ray powder pattern of Y2Cd13 for Cu Kα (weighted mean of Kα1 and Kα2), from a PBE-relaxed structure.

```
15
Lattice="3.939 2.274 6.983 -3.939 2.274 6.983 0.000 -4.549 6.983" Properties=species:S:1:pos:R:3 pbc="T T T"
Y 0.000 0.000 3.265
Y 0.000 0.000 17.685
Cd 0.000 0.000 0.000
Cd 0.000 -1.769 5.898
Cd -1.532 0.885 5.898
Cd 0.000 -1.669 9.094
Cd -1.445 0.834 9.094
Cd -1.445 -0.834 11.856
Cd -1.532 -0.885 15.052
Cd 1.532 0.885 5.898
Cd 1.445 0.834 9.094
Cd 1.445 -0.834 11.856
Cd 0.000 1.669 11.856
Cd 1.532 -0.885 15.052
Cd 0.000 1.769 15.052
```

Main lines, in order of rising 2θ (2θ from 5° to 70°):
32.67°, intensity 57; 33.88°, intensity 54; 35.06°, intensity 100; 43.57°, intensity 25; 47.72°, intensity 54; 67.53°, intensity 29


# 3
Calculated X-ray powder pattern of Y2Cd3 for Cu Kα (weighted mean of Kα1 and Kα2), from a PBE-relaxed structure.

```
10
Lattice="1.764 -14.663 0.000 1.764 14.663 0.000 0.000 0.000 4.949" Properties=species:S:1:pos:R:3 pbc="T T T"
Y 1.764 12.469 3.712
Y 1.764 8.374 1.237
Y 1.764 -8.374 3.712
Y 1.764 -12.469 1.237
Cd 1.764 5.131 1.237
Cd 1.764 3.539 3.712
Cd 1.764 0.693 3.712
Cd 1.764 -0.693 1.237
Cd 1.764 -3.539 1.237
Cd 1.764 -5.131 3.712
```

Main lines, in order of rising 2θ (2θ from 5° to 70°):
32.48°, intensity 100; 33.19°, intensity 49; 35.58°, intensity 99; 36.30°, intensity 51; 64.44°, intensity 33; 64.88°, intensity 34


# 4
Calculated X-ray powder pattern of Y4Cd5 for Cu Kα (weighted mean of Kα1 and Kα2), from a PBE-relaxed structure.

```
18
Lattice="9.206 0.000 0.000 -4.603 7.973 0.000 0.000 0.000 6.456" Properties=species:S:1:pos:R:3 pbc="T T T"
Y 0.000 0.000 0.000
Y 0.000 0.000 3.228
Y -1.662 2.879 1.614
Y -2.941 5.094 4.842
Y 3.324 0.000 1.614
Y 1.662 2.879 4.842
Y 5.882 0.000 4.842
Y 2.941 5.094 1.614
Cd -1.417 2.454 4.842
Cd -3.187 5.519 1.614
Cd 2.833 0.000 4.842
Cd 1.417 2.454 1.614
Cd 0.000 5.315 0.000
Cd 0.000 5.315 3.228
Cd 4.603 2.658 0.000
Cd 4.603 2.658 3.228
Cd 6.373 0.000 1.614
Cd 3.187 5.519 4.842
```

Main lines, in order of rising 2θ (2θ from 5° to 70°):
33.73°, intensity 100; 33.92°, intensity 96; 48.58°, intensity 31; 60.32°, intensity 14; 60.45°, intensity 29; 67.95°, intensity 24